This entry pairs a crystal structure of PmGe4Pd12 with its calculated XRD peak list. Radiation: Cu Kα (weighted mean of Kα1 and Kα2). Structure: a cell relaxed with GGA-PBE.
Lines closer than 0.1° are merged.

Cell and atoms:
abc: 8.5427 8.5427 8.5427
angles: 90.00 90.00 90.00
Space group Im-3 (No. 204)
One atom of each set of equivalent atoms:
1 Pm 0.0000 0.0000 0.0000
2 Ge 0.2500 0.2500 0.2500
3 Pd 0.0000 0.1609 0.3433

Peak list (10 most intense, 10° ≤ 2θ ≤ 90°, by angle)
2θ/deg	d [Å]	intensity	(hkl)
33.16	2.701	100	3 1 0
39.47	2.283	45	3 2 1
47.60	1.910	15	4 2 0
52.48	1.744	26	4 2 2
54.79	1.675	28	4 1 3
63.50	1.465	10	5 0 3
65.57	1.424	9	6 0 0
75.48	1.260	17	6 3 1
79.30	1.208	6	5 3 4
86.83	1.122	9	7 0 3

This entry pairs a crystal structure of PmGe2Pd with its calculated XRD peak list. Radiation: Cu Kα (weighted mean of Kα1 and Kα2). Structure: a cell relaxed with GGA-PBE.
Lines closer than 0.1° are merged.

Cell and atoms:
abc: 13.8607 4.3176 10.9342
angles: 90.00 90.00 90.00
Space group Pnma (No. 62)
One atom of each set of equivalent atoms:
1 Pm 0.0439 0.2500 0.2442
2 Pm 0.2051 0.7500 0.5185
3 Ge 0.0409 0.2500 0.5319
4 Ge 0.1169 0.2500 0.7408
5 Ge 0.1289 0.7500 0.0233
6 Ge 0.1994 0.7500 0.2358
7 Pd 0.0570 0.2500 0.9547
8 Pd 0.2110 0.7500 0.8046

Peak list (10 most intense, 10° ≤ 2θ ≤ 90°, by angle)
2θ/deg	d [Å]	intensity	(hkl)
32.77	2.733	71	0 0 4
33.15	2.702	100	4 1 0
34.18	2.624	16	4 1 1
34.71	2.584	32	2 1 3
40.90	2.206	16	5 0 3
41.85	2.159	45	0 2 0
46.55	1.951	21	6 0 3
47.30	1.922	38	4 1 4
54.14	1.694	23	0 2 4
64.88	1.437	19	2 1 7